For U2As3Rh5, a crystal structure in Alexandria, relaxed with PBE gives the theoretical powder diffraction line list in this record (Cu Kα, 1.54184 Å).
Lines closer than 0.1° are merged.

Cell and atoms:
a = 12.511 Å, b = 12.511 Å, c = 6.732 Å
α = 90.00°, β = 90.00°, γ = 161.13°
Sites, in units of the cell vectors:
1 U 0.018 0.982 0.500
2 U 0.326 0.674 0.514
3 U 0.674 0.326 0.014
4 U 0.982 0.018 0.000
5 As 0.119 0.881 0.710
6 As 0.274 0.726 0.042
7 As 0.448 0.552 0.721
8 As 0.552 0.448 0.221
9 As 0.726 0.274 0.542
10 As 0.881 0.119 0.210
11 Rh 0.100 0.900 0.086
12 Rh 0.198 0.802 0.310
13 Rh 0.221 0.779 0.743
14 Rh 0.373 0.627 0.986
15 Rh 0.448 0.552 0.322
16 Rh 0.552 0.448 0.822
17 Rh 0.627 0.373 0.486
18 Rh 0.779 0.221 0.243
19 Rh 0.802 0.198 0.810
20 Rh 0.900 0.100 0.586

Main lines, by angle (10° ≤ 2θ ≤ 90°):
2theta, d_spacing, Rel. int.
24.2, 3.671, 7
34.4, 2.605, 10
36.2, 2.483, 100
38.9, 2.318, 19
39.5, 2.279, 19
42.9, 2.109, 8
44.2, 2.051, 21
60.3, 1.536, 11
68.7, 1.367, 9
76.0, 1.252, 12